[1]
Calculated powder diffraction line list of Ti2GaNiPt5 for Cu Kα, 1.54184 Å, from a GGA-PBE-relaxed structure.

Top 6 peaks for 10 to 80 degrees two-theta, by angle:
Position (°2θ), intensity
27.92, 39
33.79, 67
37.15, 56
37.92, 31
42.06, 100
50.93, 32

Crystal structure
Unit cell a=7.458 b=7.458 c=7.458 alpha=119.59 beta=119.59 gamma=90.70
Fractional coordinates of all 18 atoms:
Ti 0.115 0.615 0.730
Ti 0.385 0.115 0.500
Ti 0.615 0.885 0.500
Ti 0.885 0.385 0.270
Ga 0.250 0.250 0.000
Ga 0.750 0.750 0.000
Ni 0.250 0.750 0.500
Ni 0.750 0.250 0.500
Pt 0.000 0.000 0.000
Pt 0.065 0.171 0.500
Pt 0.171 0.671 0.106
Pt 0.329 0.435 0.500
Pt 0.435 0.935 0.106
Pt 0.500 0.500 0.000
Pt 0.565 0.065 0.894
Pt 0.671 0.565 0.500
Pt 0.829 0.329 0.894
Pt 0.935 0.829 0.500



[2]
Calculated powder diffraction line list of V2Ga2Ni7Pt for Cu Kα, 1.54184 Å, from a GGA-PBE-relaxed structure.

Top 6 peaks for 10 to 80 degrees two-theta, by angle:
Position (°2θ), intensity
38.38, 14
42.38, 100
47.60, 20
47.86, 21
50.08, 21
50.76, 18

Crystal structure
Unit cell a=3.643 b=3.643 c=11.404 alpha=90.00 beta=90.00 gamma=90.12
Fractional coordinates of all 12 atoms:
V 0.000 0.000 0.177
V 0.000 0.000 0.823
Ga 0.500 0.500 0.189
Ga 0.500 0.500 0.811
Ni 0.000 0.000 0.500
Ni 0.000 0.500 0.336
Ni 0.000 0.500 0.664
Ni 0.255 0.745 0.000
Ni 0.500 0.000 0.336
Ni 0.500 0.000 0.664
Ni 0.745 0.255 0.000
Pt 0.500 0.500 0.500